1.
The following is a theoretical powder diffractogram of CoSb2MoI. It was derived from a structure optimized by DFT (GGA-PBE), using Cu Ka.
Intensities are scaled so that the largest is 100.

Structural model:
Cell lengths 5.1566, 5.1566, 5.7621 Å; angles 90.00, 90.00, 90.00 degrees
Positions (direct):
Co  0.0000  0.0000  0.0000
Sb  0.0000  0.5000  0.5000
Sb  0.5000  0.0000  0.5000
Mo  0.5000  0.5000  0.5000
I  0.5000  0.5000  0.0000

Most intense lines, 2θ = 10–90°, low angle first:
2theta	I (rel.)
15.4	24
17.2	42
29.0	100
31.0	53
34.8	78
47.3	65
50.0	27
54.0	17
58.9	26
60.1	33

***

2.
The following is a theoretical powder diffractogram of CoI7N6. It was derived from a structure optimized by DFT (GGA-PBE), using Cu Ka.
Intensities are scaled so that the largest is 100.

Structural model:
Cell lengths 7.0551, 7.0551, 12.0648 Å; angles 110.19, 110.19, 43.19 degrees
Positions (direct):
Co  0.0000  0.0000  0.0000
I  0.1660  0.1660  0.5021
I  0.2801  0.2801  0.0984
I  0.4192  0.4192  0.8232
I  0.5000  0.5000  0.5000
I  0.5808  0.5808  0.1768
I  0.7199  0.7199  0.9016
I  0.8340  0.8340  0.4979
N  0.1422  0.1422  0.1289
N  0.2085  0.7068  0.0877
N  0.2932  0.7915  0.9123
N  0.7068  0.2085  0.0877
N  0.7915  0.2932  0.9123
N  0.8578  0.8578  0.8711

Most intense lines, 2θ = 10–90°, low angle first:
2theta	I (rel.)
15.8	56
22.6	37
23.8	58
27.7	21
27.8	76
28.1	52
31.2	100
34.5	45
42.2	32
42.4	24

***

Repeat the second record exactly.
The following is a theoretical powder diffractogram of CoI7N6. It was derived from a structure optimized by DFT (GGA-PBE), using Cu Ka.
Intensities are scaled so that the largest is 100.

Structural model:
Cell lengths 7.0551, 7.0551, 12.0648 Å; angles 110.19, 110.19, 43.19 degrees
Positions (direct):
Co  0.0000  0.0000  0.0000
I  0.1660  0.1660  0.5021
I  0.2801  0.2801  0.0984
I  0.4192  0.4192  0.8232
I  0.5000  0.5000  0.5000
I  0.5808  0.5808  0.1768
I  0.7199  0.7199  0.9016
I  0.8340  0.8340  0.4979
N  0.1422  0.1422  0.1289
N  0.2085  0.7068  0.0877
N  0.2932  0.7915  0.9123
N  0.7068  0.2085  0.0877
N  0.7915  0.2932  0.9123
N  0.8578  0.8578  0.8711

Most intense lines, 2θ = 10–90°, low angle first:
2theta	I (rel.)
15.8	56
22.6	37
23.8	58
27.7	21
27.8	76
28.1	52
31.2	100
34.5	45
42.2	32
42.4	24